For Ca2ZnMoN4, a DFT-relaxed cell (GGA-PBE, Alexandria) gives the simulated powder XRD pattern in this record (Cu Ka).

Atomic structure:
a = 7.051 Å, b = 6.335 Å, c = 5.526 Å
α = 90.00°, β = 90.00°, γ = 90.00°
Fractional coordinates of all 16 atoms:
Ca 0.248 0.185 0.000
Ca 0.252 0.815 0.500
Ca 0.748 0.815 0.500
Ca 0.752 0.185 0.000
Zn 0.000 0.335 0.513
Zn 0.500 0.665 0.013
Mo 0.000 0.662 0.018
Mo 0.500 0.338 0.518
N 0.000 0.397 0.876
N 0.000 0.624 0.351
N 0.229 0.812 0.944
N 0.271 0.188 0.444
N 0.500 0.376 0.851
N 0.500 0.603 0.376
N 0.729 0.188 0.444
N 0.771 0.812 0.944

Principal peaks in the range 10 to 90 degrees two-theta, sorted by position:
2theta	Rel. int.	h k l
21.3	278	0 1 1
29.0	472	2 1 0
32.4	532	0 0 2
32.6	473	0 2 1
33.3	1000	2 1 1
50.4	319	2 3 0
58.4	261	2 1 3
61.2	286	2 3 2